Structure and calculated XRD peak list of AcAg4Hg (a DFT-relaxed cell (GGA-PBE, OQMD); λ = 1.5418 Å (Cu Kα)).
No peak broadening, texture or thermal motion is included.

Structure:
```
data_AcAg4Hg
_symmetry_space_group_name_H-M 'F -4 3 m'
_symmetry_Int_Tables_number 216
_symmetry_space_group_name_Hall 'F -4 2 3'
_cell_length_a 8.1044
_cell_length_b 8.1044
_cell_length_c 8.1044
_cell_angle_alpha 90.00
_cell_angle_beta 90.00
_cell_angle_gamma 90.00
loop_
_atom_site_label
_atom_site_type_symbol
_atom_site_fract_x
_atom_site_fract_y
_atom_site_fract_z
Ac1 Ac 0.0000 0.0000 0.0000
Ag1 Ag 0.1241 0.1241 0.3759
Hg1 Hg 0.2500 0.2500 0.7500
```

Main lines, in order of rising 2θ (2θ from 10° to 80°):
(1 1 1), 2θ = 18.97°, I 3; (2 2 0), 2θ = 31.22°, I 50; (3 1 1), 2θ = 36.78°, I 100; (2 2 2), 2θ = 38.48°, I 22; (4 2 2), 2θ = 55.55°, I 20; (5 1 1), 2θ = 59.24°, I 33; (4 4 0), 2θ = 65.11°, I 25; (6 2 0), 2θ = 73.97°, I 9; (5 3 3), 2θ = 77.18°, I 11; (6 2 2), 2θ = 78.24°, I 8



Structure and calculated XRD peak list of Cs2PtC2O4F4 (a DFT-relaxed cell (GGA-PBE, OQMD); λ = 1.5418 Å (Cu Kα)).
No peak broadening, texture or thermal motion is included.

Structure:
```
data_Cs2PtC2O4F4
_symmetry_space_group_name_H-M 'C 1 2/m 1'
_symmetry_Int_Tables_number 12
_symmetry_space_group_name_Hall '-C 2y'
_cell_length_a 13.9993
_cell_length_b 6.0242
_cell_length_c 9.6136
_cell_angle_alpha 90.00
_cell_angle_beta 90.34
_cell_angle_gamma 90.00
loop_
_atom_site_label
_atom_site_type_symbol
_atom_site_fract_x
_atom_site_fract_y
_atom_site_fract_z
Cs1 Cs 0.0431 0.0000 0.2914
Cs2 Cs 0.2274 0.5000 0.3334
Pt1 Pt 0.1154 0.5000 0.6887
C1 C 0.1384 0.3713 0.9642
O1 O 0.1269 0.2764 0.8417
O2 O 0.1475 0.2658 0.0720
F1 F 0.0233 0.5000 0.2811
F2 F 0.1059 0.2651 0.5438
F3 F 0.2445 0.0000 0.3395
```

Main lines, in order of rising 2θ (2θ from 10° to 80°):
(0 0 2), 2θ = 18.46°, I 49; (3 1 0), 2θ = 24.12°, I 36; (3 1 1), 2θ = 25.89°, I 100; (0 0 3), 2θ = 27.84°, I 30; (0 2 0), 2θ = 29.66°, I 24; (3 1 -2), 2θ = 30.48°, I 46; (0 2 2), 2θ = 35.16°, I 31; (6 0 -1), 2θ = 39.70°, I 26; (0 2 3), 2θ = 41.13°, I 31; (3 3 1), 2θ = 50.37°, I 44



Structure and calculated XRD peak list of MgScReMo (a DFT-relaxed cell (GGA-PBE, OQMD); λ = 1.5418 Å (Cu Kα)).
No peak broadening, texture or thermal motion is included.

Structure:
```
data_MgScReMo
_symmetry_space_group_name_H-M 'F -4 3 m'
_symmetry_Int_Tables_number 216
_symmetry_space_group_name_Hall 'F -4 2 3'
_cell_length_a 6.4616
_cell_length_b 6.4616
_cell_length_c 6.4616
_cell_angle_alpha 90.00
_cell_angle_beta 90.00
_cell_angle_gamma 90.00
loop_
_atom_site_label
_atom_site_type_symbol
_atom_site_fract_x
_atom_site_fract_y
_atom_site_fract_z
Mg1 Mg 0.0000 0.0000 0.0000
Sc1 Sc 0.2500 0.2500 0.7500
Re1 Re 0.0000 0.0000 0.5000
Mo1 Mo 0.2500 0.2500 0.2500
```

Main lines, in order of rising 2θ (2θ from 10° to 80°):
(1 1 1), 2θ = 23.85°, I 55; (2 0 0), 2θ = 27.61°, I 4; (2 2 0), 2θ = 39.44°, I 100; (3 1 1), 2θ = 46.62°, I 28; (2 2 2), 2θ = 48.82°, I 1; (4 0 0), 2θ = 57.01°, I 17; (3 3 1), 2θ = 62.67°, I 12; (4 2 0), 2θ = 64.49°, I 2; (4 2 2), 2θ = 71.53°, I 34; (5 1 1), 2θ = 76.62°, I 9